Simulated powder diffraction line list
Compound: LiMgPb2
Radiation: CuKα
Structure: a structure optimized by DFT (PBE)

Peak list (7 most intense, 5 to 70 degrees two-theta, in order of rising 2θ)
| (hkl) | Position (°2θ) | Rel. int. |
| --- | --- | --- |
| 1 1 1 | 20.73 | 1 |
| 2 0 0 | 23.99 | 89 |
| 2 2 0 | 34.18 | 100 |
| 2 2 2 | 42.19 | 28 |
| 4 0 0 | 49.11 | 18 |
| 4 2 0 | 55.37 | 39 |
| 4 2 2 | 61.19 | 38 |

Cell and atoms:
Cell lengths 7.4203, 7.4203, 7.4203 Å; angles 90.00, 90.00, 90.00 degrees
Space group Fm-3m (No. 225)
One atom of each set of equivalent atoms:
Li (0.0000, 0.0000, 0.0000) [4 per cell]
Mg (0.0000, 0.0000, 0.5000) [4 per cell]
Pb (0.2500, 0.2500, 0.2500) [8 per cell]